# NdErNi2P2
Calculated PXRD pattern, Cu Kα (weighted mean of Kα1 and Kα2). Input: a crystal structure in Alexandria, relaxed with PBE.
Lines closer than 0.1° are merged.

Cell and atoms:
```
NdErNi2P2
1.0
3.9141 0.0000 0.0000
-1.9571 3.3897 0.0000
0.0000 0.0000 7.8988
Nd Er Ni P
1 1 2 2
Direct
0.0000 0.0000 0.0000 Nd
0.0000 0.0000 0.5000 Er
0.3333 0.6667 0.7405 Ni
0.6667 0.3333 0.2595 Ni
0.3333 0.6667 0.2620 P
0.6667 0.3333 0.7380 P
```

Principal peaks in the range 10 to 90 degrees two-theta, by intensity:
2theta	I (rel.)
34.9	100.0
46.4	33.9
26.3	28.4
59.3	21.1
67.4	21.1
78.5	18.6
46.0	11.3
77.8	9.2
53.7	8.7
86.0	5.6
54.1	4.1
22.5	3.9